Computed powder diffraction line list of AcTl3Hg2 for Cu Kα (λ = 1.5418 Å), from a DFT-relaxed cell (GGA-PBE, Alexandria).

Structural model:
```
data_AcTl3Hg2
_cell_length_a 16.584
_cell_length_b 5.466
_cell_length_c 9.364
_cell_angle_alpha 90.00
_cell_angle_beta 121.67
_cell_angle_gamma 90.00
_space_group_name_H-M_alt 'C 1 2/m 1'
_space_group_IT_number 12
loop_
_space_group_symop_operation_xyz
'x,y,z'
'-x,-y,-z'
'-x,y,-z'
'x,-y,z'
'x+1/2,y+1/2,z'
'-x+1/2,-y+1/2,-z'
'-x+1/2,y+1/2,-z'
'x+1/2,-y+1/2,z'
loop_
_atom_site_label
_atom_site_fract_x
_atom_site_fract_y
_atom_site_fract_z
Ac1 0.139 0.000 0.131
Tl1 0.004 0.000 0.673
Tl2 0.115 0.500 0.621
Tl3 0.240 0.000 0.577
Hg1 0.012 0.500 0.171
Hg2 0.243 0.500 0.074
```

Top 12 peaks for 2θ from 10° to 80°, in order of rising 2θ:
d (Å), 2θ (°), I/Imax, index
2.882, 31.03, 35, 2 0 2
2.858, 31.29, 34, 3 1 1
2.795, 32.03, 66, 5 1 -1
2.756, 32.49, 14, 6 0 -2
2.733, 32.77, 52, 0 2 0
2.708, 33.08, 100, 3 1 -3
1.983, 45.75, 24, 2 2 2
1.610, 57.20, 20, 1 1 -5
1.589, 58.03, 13, 5 3 -1
1.573, 58.69, 20, 3 3 -3
1.506, 61.56, 15, 5 1 3
1.482, 62.68, 13, 8 2 0

=====

Computed powder diffraction line list of TbCeThTc for Cu Kα (λ = 1.5418 Å), from a DFT-relaxed cell (GGA-PBE, Alexandria).

Structural model:
```
data_TbCeThTc
_cell_length_a 5.735
_cell_length_b 5.114
_cell_length_c 7.712
_cell_angle_alpha 90.00
_cell_angle_beta 100.34
_cell_angle_gamma 90.00
_space_group_name_H-M_alt 'C 1 m 1'
_space_group_IT_number 8
loop_
_space_group_symop_operation_xyz
'x,y,z'
'x,-y,z'
'x+1/2,y+1/2,z'
'x+1/2,-y+1/2,z'
loop_
_atom_site_label
_atom_site_fract_x
_atom_site_fract_y
_atom_site_fract_z
Tb1 0.000 0.000 0.000
Ce1 0.077 0.500 0.319
Th1 0.432 0.000 0.707
Tc1 0.438 0.500 0.525
```

Top 12 peaks for 2θ from 10° to 80°, in order of rising 2θ:
d (Å), 2θ (°), I/Imax, index
7.587, 11.66, 20, 0 0 1
3.237, 27.55, 43, 1 1 1
2.859, 31.29, 100, 1 1 -2
2.819, 31.75, 45, 2 0 0
2.557, 35.09, 41, 0 2 0
2.532, 35.46, 50, 1 1 2
1.895, 48.01, 24, 2 2 0
1.715, 53.44, 15, 3 1 -2
1.659, 55.40, 13, 3 1 1
1.528, 60.60, 15, 1 3 -2
1.471, 63.20, 14, 1 1 -5
1.435, 65.01, 11, 4 0 -1

=====

Computed powder diffraction line list of YHo12Tl3 for Cu Kα (λ = 1.5418 Å), from a DFT-relaxed cell (GGA-PBE, Alexandria).

Structural model:
```
data_YHo12Tl3
_cell_length_a 4.844
_cell_length_b 4.844
_cell_length_c 19.782
_cell_angle_alpha 90.00
_cell_angle_beta 90.00
_cell_angle_gamma 90.00
_space_group_name_H-M_alt 'P 4/m m m'
_space_group_IT_number 123
_space_group_name_Hall '-P 4 2'
loop_
_atom_site_label
_atom_site_fract_x
_atom_site_fract_y
_atom_site_fract_z
Y1 0.000 0.000 0.000
Ho1 0.000 0.500 0.130
Ho2 0.000 0.500 0.377
Ho3 0.500 0.500 0.000
Ho4 0.500 0.500 0.255
Ho5 0.500 0.500 0.500
Tl1 0.000 0.000 0.257
Tl2 0.000 0.000 0.500
```

Top 12 peaks for 2θ from 10° to 80°, in order of rising 2θ:
d (Å), 2θ (°), I/Imax, index
2.816, 31.78, 100, 1 1 4
2.590, 34.64, 1, 1 1 5
2.473, 36.33, 17, 0 0 8
2.422, 37.12, 33, 2 0 0
1.730, 52.92, 23, 2 0 8
1.713, 53.51, 12, 2 2 0
1.485, 62.53, 13, 1 1 12
1.463, 63.59, 28, 3 1 4
1.408, 66.40, 12, 2 2 8
1.390, 67.34, 1, 1 1 13
1.236, 77.15, 2, 0 0 16
1.211, 79.08, 4, 4 0 0

=====

Computed powder diffraction line list of Ho5Er2In2 for Cu Kα (λ = 1.5418 Å), from a DFT-relaxed cell (GGA-PBE, Alexandria).

Structural model:
```
data_Ho5Er2In2
_cell_length_a 15.790
_cell_length_b 10.430
_cell_length_c 6.503
_cell_angle_alpha 90.00
_cell_angle_beta 90.00
_cell_angle_gamma 90.00
_space_group_name_H-M_alt 'I m a 2'
_space_group_IT_number 46
loop_
_space_group_symop_operation_xyz
'x,y,z'
'-x,-y,z'
'-x+1/2,y,z'
'x+1/2,-y,z'
'x+1/2,y+1/2,z+1/2'
'-x+1/2,-y+1/2,z+1/2'
'-x,y+1/2,z+1/2'
'x,-y+1/2,z+1/2'
loop_
_atom_site_label
_atom_site_fract_x
_atom_site_fract_y
_atom_site_fract_z
Ho1 0.055 0.244 0.000
Ho2 0.151 0.695 0.642
Ho3 0.250 0.110 0.992
Er1 0.000 0.000 0.297
Er2 0.250 0.017 0.484
In1 0.089 0.528 0.261
```

Top 12 peaks for 2θ from 10° to 80°, in order of rising 2θ:
d (Å), 2θ (°), I/Imax, index
3.212, 27.77, 30, 4 1 1
3.066, 29.13, 37, 0 3 1
3.046, 29.32, 39, 1 1 2
3.022, 29.55, 66, 5 1 0
2.901, 30.82, 32, 3 3 0
2.759, 32.45, 34, 0 2 2
2.605, 34.42, 100, 0 4 0
2.510, 35.78, 25, 4 0 2
2.421, 37.13, 34, 4 3 1
2.375, 37.88, 25, 6 1 1
2.214, 40.76, 25, 5 1 2
1.508, 61.50, 18, 6 3 3

=====

Computed powder diffraction line list of Ho4Er3Sc2 for Cu Kα (λ = 1.5418 Å), from a DFT-relaxed cell (GGA-PBE, Alexandria).

Structural model:
```
data_Ho4Er3Sc2
_cell_length_a 16.124
_cell_length_b 11.259
_cell_length_c 5.867
_cell_angle_alpha 90.00
_cell_angle_beta 96.95
_cell_angle_gamma 90.00
_space_group_name_H-M_alt 'C 1 2/c 1'
_space_group_IT_number 15
loop_
_space_group_symop_operation_xyz
'x,y,z'
'-x,-y,-z'
'-x,y,-z+1/2'
'x,-y,z+1/2'
'x+1/2,y+1/2,z'
'-x+1/2,-y+1/2,-z'
'-x+1/2,y+1/2,-z+1/2'
'x+1/2,-y+1/2,z+1/2'
loop_
_atom_site_label
_atom_site_fract_x
_atom_site_fract_y
_atom_site_fract_z
Ho1 0.065 0.113 0.046
Ho2 0.221 0.394 0.894
Er1 0.000 0.356 0.750
Er2 0.170 0.154 0.579
Sc1 0.099 0.386 0.297
```

Top 12 peaks for 2θ from 10° to 80°, in order of rising 2θ:
d (Å), 2θ (°), I/Imax, index
3.073, 29.06, 17, 3 3 0
2.863, 31.24, 62, 5 1 -1
2.834, 31.57, 57, 1 1 -2
2.815, 31.79, 46, 0 4 0
2.733, 32.77, 100, 4 2 1
2.324, 38.74, 28, 5 3 -1
2.308, 39.02, 30, 1 3 -2
1.792, 50.95, 11, 5 5 -1
1.757, 52.06, 13, 9 1 0
1.736, 52.73, 15, 3 1 3
1.608, 57.29, 21, 4 6 1
1.600, 57.62, 19, 6 2 -3

=====

Computed powder diffraction line list of Ca2AgBiSe4 for Cu Kα (λ = 1.5418 Å), from a DFT-relaxed cell (GGA-PBE, Alexandria).

Structural model:
```
data_Ca2AgBiSe4
_cell_length_a 7.212
_cell_length_b 4.222
_cell_length_c 7.316
_cell_angle_alpha 90.00
_cell_angle_beta 109.64
_cell_angle_gamma 90.00
_space_group_name_H-M_alt 'P 1 2/m 1'
_space_group_IT_number 10
loop_
_space_group_symop_operation_xyz
'x,y,z'
'-x,-y,-z'
'-x,y,-z'
'x,-y,z'
loop_
_atom_site_label
_atom_site_fract_x
_atom_site_fract_y
_atom_site_fract_z
Ca1 0.000 0.000 0.000
Ca2 0.000 0.500 0.500
Ag1 0.500 0.000 0.500
Bi1 0.500 0.500 0.000
Se1 0.250 0.000 0.752
Se2 0.255 0.500 0.251
```

Top 12 peaks for 2θ from 10° to 80°, in order of rising 2θ:
d (Å), 2θ (°), I/Imax, index
6.792, 13.03, 24, 1 0 0
3.598, 24.74, 18, 1 0 -2
2.971, 30.08, 100, 1 1 1
2.722, 32.91, 8, 2 1 -1
2.111, 42.83, 38, 0 2 0
2.090, 43.29, 36, 2 0 2
2.016, 44.96, 8, 0 1 3
1.721, 53.22, 20, 0 0 4
1.485, 62.53, 12, 2 2 2
1.334, 70.60, 17, 1 3 1
1.324, 71.23, 11, 4 2 0
1.214, 78.82, 8, 4 2 -4

=====

Computed powder diffraction line list of NaGaH3 for Cu Kα (λ = 1.5418 Å), from a DFT-relaxed cell (GGA-PBE, Alexandria).

Structural model:
```
data_NaGaH3
_cell_length_a 5.915
_cell_length_b 4.997
_cell_length_c 9.977
_cell_angle_alpha 90.00
_cell_angle_beta 106.58
_cell_angle_gamma 90.00
_space_group_name_H-M_alt 'P 1 21/c 1'
_space_group_IT_number 14
loop_
_space_group_symop_operation_xyz
'x,y,z'
'-x,-y,-z'
'-x,y+1/2,-z+1/2'
'x,-y+1/2,z+1/2'
loop_
_atom_site_label
_atom_site_fract_x
_atom_site_fract_y
_atom_site_fract_z
Na1 0.207 0.139 0.176
Ga1 0.340 0.640 0.427
H1 0.155 0.017 0.799
H2 0.162 0.737 0.007
H3 0.436 0.620 0.849
```

Top 12 peaks for 2θ from 10° to 80°, in order of rising 2θ:
d (Å), 2θ (°), I/Imax, index
5.669, 15.63, 39, 1 0 0
4.781, 18.56, 22, 0 0 2
4.428, 20.05, 100, 0 1 1
4.311, 20.60, 68, 1 0 -2
3.744, 23.76, 44, 1 1 0
3.454, 25.79, 86, 0 1 2
2.712, 33.03, 47, 1 1 2
2.692, 33.29, 31, 1 1 -3
2.467, 36.42, 57, 1 0 -4
2.453, 36.63, 28, 2 1 -2
2.417, 37.20, 24, 0 2 1
1.908, 47.65, 39, 2 2 -1

=====

Computed powder diffraction line list of Tb2YSc5 for Cu Kα (λ = 1.5418 Å), from a DFT-relaxed cell (GGA-PBE, Alexandria).

Structural model:
```
data_Tb2YSc5
_cell_length_a 6.869
_cell_length_b 10.712
_cell_length_c 11.901
_cell_angle_alpha 90.00
_cell_angle_beta 90.00
_cell_angle_gamma 90.00
_space_group_name_H-M_alt 'F m m 2'
_space_group_IT_number 42
_space_group_name_Hall 'F 2 -2'
loop_
_atom_site_label
_atom_site_fract_x
_atom_site_fract_y
_atom_site_fract_z
Tb1 0.000 0.244 0.000
Y1 0.000 0.000 0.330
Sc1 0.000 0.000 0.827
Sc2 0.247 0.000 0.584
Sc3 0.250 0.250 0.246
```

Top 12 peaks for 2θ from 10° to 80°, in order of rising 2θ:
d (Å), 2θ (°), I/Imax, index
5.951, 14.89, 15, 0 0 2
5.356, 16.55, 10, 0 2 0
3.981, 22.33, 21, 0 2 2
3.435, 25.94, 8, 2 0 0
2.975, 30.04, 29, 0 0 4
2.678, 33.46, 23, 0 4 0
2.601, 34.49, 100, 2 2 2
1.990, 45.58, 18, 0 4 4
1.718, 53.34, 18, 4 0 0
1.531, 60.48, 18, 2 6 2
1.446, 64.45, 20, 4 4 0
1.433, 65.08, 15, 0 2 8

=====

Computed powder diffraction line list of BiPdBr6 for Cu Kα (λ = 1.5418 Å), from a DFT-relaxed cell (GGA-PBE, Alexandria).

Structural model:
```
data_BiPdBr6
_cell_length_a 6.666
_cell_length_b 6.702
_cell_length_c 7.258
_cell_angle_alpha 62.61
_cell_angle_beta 66.23
_cell_angle_gamma 63.58
_space_group_name_H-M_alt 'P -1'
_space_group_IT_number 2
loop_
_space_group_symop_operation_xyz
'x,y,z'
'-x,-y,-z'
loop_
_atom_site_label
_atom_site_fract_x
_atom_site_fract_y
_atom_site_fract_z
Bi1 0.000 0.000 0.000
Pd1 0.500 0.500 0.500
Br1 0.112 0.730 0.742
Br2 0.272 0.556 0.265
Br3 0.435 0.105 0.735
```

Top 12 peaks for 2θ from 10° to 80°, in order of rising 2θ:
d (Å), 2θ (°), I/Imax, index
5.154, 17.21, 51, 0 1 1
4.893, 18.13, 100, 1 0 1
3.795, 23.44, 25, 1 0 -1
3.613, 24.64, 24, 0 1 -1
2.986, 29.92, 86, 2 1 0
2.966, 30.13, 36, 1 2 2
2.886, 30.99, 24, 2 1 2
2.408, 37.34, 32, -1 1 2
2.264, 39.81, 54, 1 2 -1
1.999, 45.37, 26, 0 3 1
1.985, 45.69, 33, 3 0 1
1.893, 48.05, 23, 3 3 2

=====

Computed powder diffraction line list of Pr4Hg2Ge for Cu Kα (λ = 1.5418 Å), from a DFT-relaxed cell (GGA-PBE, Alexandria).

Structural model:
```
data_Pr4Hg2Ge
_cell_length_a 7.490
_cell_length_b 10.761
_cell_length_c 5.330
_cell_angle_alpha 90.00
_cell_angle_beta 90.00
_cell_angle_gamma 90.00
_space_group_name_H-M_alt 'C m m m'
_space_group_IT_number 65
_space_group_name_Hall '-C 2 2'
loop_
_atom_site_label
_atom_site_fract_x
_atom_site_fract_y
_atom_site_fract_z
Pr1 0.243 0.000 0.000
Pr2 0.250 0.250 0.500
Hg1 0.000 0.259 0.000
Ge1 0.000 0.000 0.500
```

Top 12 peaks for 2θ from 10° to 80°, in order of rising 2θ:
d (Å), 2θ (°), I/Imax, index
5.380, 16.48, 10, 0 2 0
5.330, 16.63, 10, 0 0 1
3.069, 29.10, 11, 2 0 1
2.690, 33.31, 20, 0 4 0
2.663, 33.65, 100, 0 0 2
2.014, 45.02, 3, 2 2 2
1.893, 48.06, 15, 0 4 2
1.872, 48.63, 7, 4 0 0
1.548, 59.74, 15, 2 6 1
1.538, 60.18, 22, 2 2 3
1.532, 60.42, 7, 4 0 2
1.332, 70.75, 11, 0 0 4

=====

Computed powder diffraction line list of ErScSO2 for Cu Kα (λ = 1.5418 Å), from a DFT-relaxed cell (GGA-PBE, Alexandria).

Structural model:
```
data_ErScSO2
_cell_length_a 6.328
_cell_length_b 3.925
_cell_length_c 7.292
_cell_angle_alpha 90.00
_cell_angle_beta 113.50
_cell_angle_gamma 90.00
_space_group_name_H-M_alt 'P 1 21/m 1'
_space_group_IT_number 11
loop_
_space_group_symop_operation_xyz
'x,y,z'
'-x,-y,-z'
'-x,y+1/2,-z'
'x,-y+1/2,z'
loop_
_atom_site_label
_atom_site_fract_x
_atom_site_fract_y
_atom_site_fract_z
Er1 0.191 0.250 0.441
Sc1 0.164 0.250 0.940
S1 0.478 0.750 0.729
O1 0.007 0.750 0.366
O2 0.039 0.750 0.899
```

Top 12 peaks for 2θ from 10° to 80°, in order of rising 2θ:
d (Å), 2θ (°), I/Imax, index
6.687, 13.24, 100, 0 0 1
5.803, 15.27, 43, 1 0 0
3.343, 26.66, 25, 0 0 2
3.251, 27.43, 100, 1 1 0
2.817, 31.77, 63, 2 0 -2
2.696, 33.23, 32, 1 1 1
2.645, 33.89, 44, 1 1 -2
2.498, 35.95, 38, 1 0 2
2.333, 38.59, 27, 2 1 0
1.963, 46.26, 26, 0 2 0
1.831, 49.80, 24, 3 1 -2
1.610, 57.21, 22, 2 2 -2

=====

Computed powder diffraction line list of K2H3CO4F for Cu Kα (λ = 1.5418 Å), from a DFT-relaxed cell (GGA-PBE, Alexandria).

Structural model:
```
data_K2H3CO4F
_cell_length_a 5.498
_cell_length_b 7.338
_cell_length_c 7.548
_cell_angle_alpha 90.00
_cell_angle_beta 104.77
_cell_angle_gamma 90.00
_space_group_name_H-M_alt 'P 1 21/m 1'
_space_group_IT_number 11
loop_
_space_group_symop_operation_xyz
'x,y,z'
'-x,-y,-z'
'-x,y+1/2,-z'
'x,-y+1/2,z'
loop_
_atom_site_label
_atom_site_fract_x
_atom_site_fract_y
_atom_site_fract_z
K1 0.199 0.002 0.265
H1 0.289 0.250 0.858
H2 0.294 0.250 0.648
H3 0.322 0.750 0.613
C1 0.317 0.750 0.874
O1 0.175 0.750 0.982
O2 0.179 0.250 0.730
O3 0.194 0.750 0.690
O4 0.443 0.250 0.084
F1 0.498 0.750 0.489
```

Top 12 peaks for 2θ from 10° to 80°, in order of rising 2θ:
d (Å), 2θ (°), I/Imax, index
4.938, 17.96, 23, 1 0 -1
3.649, 24.39, 28, 0 0 2
3.446, 25.85, 23, 1 0 -2
3.020, 29.58, 17, 1 2 0
2.945, 30.35, 81, 1 2 -1
2.658, 33.72, 100, 1 2 1
2.587, 34.67, 44, 0 2 2
2.469, 36.39, 20, 2 0 -2
2.191, 41.20, 25, 2 2 -1
2.045, 44.30, 31, 1 2 -3
1.835, 49.70, 24, 0 4 0
1.772, 51.57, 17, 3 0 0